# Tl2In9Hg6
Simulated powder X-ray diffraction pattern, Cu Ka. Input: a DFT-relaxed cell (GGA-PBE, Alexandria).
Intensities are scaled so that the largest is 100.

Structure:
```
data_Tl2In9Hg6
_chemical_formula_sum 'Tl2 In9 Hg6'
_space_group_name_H-M_alt 'P -1'
_space_group_IT_number 2
_cell_length_a 6.0806
_cell_length_b 6.2602
_cell_length_c 12.5596
_cell_angle_alpha 89.40
_cell_angle_beta 80.75
_cell_angle_gamma 84.90
loop_
_space_group_symop_operation_xyz
'x,y,z'
'-x,-y,-z'
loop_
_atom_site_label
_atom_site_fract_x
_atom_site_fract_y
_atom_site_fract_z
Tl1 0.1296 0.0278 0.2486
In1 0.0000 0.0000 0.0000
In2 0.1729 0.5185 0.3438
In3 0.3212 0.6978 0.5616
In4 0.3773 0.2370 0.7352
In5 0.5000 0.0000 0.0000
In6 0.5000 0.5000 0.0000
Hg1 0.0264 0.5377 0.1180
Hg2 0.1941 0.1637 0.5155
Hg3 0.3780 0.7500 0.7968
```

Main lines, sorted by position (10 to 90 degrees two-theta):
d [Å], I_rel
2.805, 100.0
2.771, 54.9
2.752, 54.6
2.669, 43.6
2.628, 69.1
2.492, 54.5
2.170, 25.8
2.071, 28.3